1.
# Li4Fe3CoO8
Computed X-ray diffraction stick pattern, Cu Kα, 1.54184 Å. Input: a DFT-relaxed cell (PBE+U, the Materials Project).
No peak broadening, texture or thermal motion is included.

Most intense lines, 15 to 90 degrees two-theta, in order of rising 2θ:
2θ/deg  I_rel
20.95  83
22.17  100
31.79  28
31.95  56
35.22  51
36.48  37

```
data_Li4Fe3CoO8
_cell_length_a 5.096
_cell_length_b 5.595
_cell_length_c 6.497
_cell_angle_alpha 90.25
_cell_angle_beta 90.16
_cell_angle_gamma 90.26
_symmetry_space_group_name_H-M 'P 1'
_symmetry_Int_Tables_number 1
loop_
_symmetry_equiv_pos_as_xyz
'x,y,z'
loop_
_atom_site_label
_atom_site_fract_x
_atom_site_fract_y
_atom_site_fract_z
Li1 0.000 0.000 0.000
Li2 0.001 0.500 0.749
Li3 0.498 0.164 0.250
Li4 0.500 0.667 0.502
Fe1 0.004 0.500 0.253
Fe2 0.499 0.165 0.748
Fe3 0.503 0.667 0.999
Co1 0.000 0.998 0.497
O1 0.373 0.006 0.506
O2 0.380 0.509 0.241
O3 0.395 0.493 0.759
O4 0.395 0.993 0.989
O5 0.876 0.156 0.736
O6 0.879 0.655 0.011
O7 0.895 0.173 0.265
O8 0.900 0.676 0.494
```

=====

2.
# Li2FeCoO4
Computed X-ray diffraction stick pattern, Cu Kα, 1.54184 Å. Input: a DFT-relaxed cell (PBE+U, the Materials Project).
No peak broadening, texture or thermal motion is included.

Most intense lines, 15 to 90 degrees two-theta, in order of rising 2θ:
2θ/deg  I_rel
24.13  100
37.52  20
41.93  27
44.41  48
51.17  23
62.72  27

```
data_Li2FeCoO4
_cell_length_a 4.080
_cell_length_b 4.080
_cell_length_c 8.619
_cell_angle_alpha 90.00
_cell_angle_beta 90.00
_cell_angle_gamma 90.00
_symmetry_space_group_name_H-M 'I -4 m 2'
_symmetry_Int_Tables_number 119
_symmetry_space_group_name_Hall 'I -4 -2'
loop_
_atom_site_label
_atom_site_fract_x
_atom_site_fract_y
_atom_site_fract_z
Li1 0.000 0.000 0.000
Li2 0.000 0.500 0.250
Fe1 0.000 0.000 0.500
Co1 0.000 0.500 0.750
O1 0.000 0.000 0.265
O2 0.000 0.500 0.523
```

=====

3.
# Li8FeCo3O8
Computed X-ray diffraction stick pattern, Cu Kα, 1.54184 Å. Input: a DFT-relaxed cell (PBE+U, the Materials Project).
No peak broadening, texture or thermal motion is included.

Most intense lines, 15 to 90 degrees two-theta, in order of rising 2θ:
2θ/deg  I_rel
20.51  100
20.76  37
20.96  35
30.26  30
32.49  40
33.39  43

```
data_Li8FeCo3O8
_cell_length_a 5.369
_cell_length_b 5.513
_cell_length_c 6.998
_cell_angle_alpha 89.83
_cell_angle_beta 89.43
_cell_angle_gamma 89.17
_symmetry_space_group_name_H-M 'P 1'
_symmetry_Int_Tables_number 1
loop_
_symmetry_equiv_pos_as_xyz
'x,y,z'
loop_
_atom_site_label
_atom_site_fract_x
_atom_site_fract_y
_atom_site_fract_z
Li1 0.000 0.000 0.000
Li2 0.001 0.516 0.689
Li3 0.337 0.329 0.851
Li4 0.340 0.831 0.840
Li5 0.487 0.575 0.500
Li6 0.500 0.094 0.186
Li7 0.826 0.759 0.343
Li8 0.837 0.265 0.343
Fe1 0.735 0.103 0.699
Co1 0.230 0.996 0.478
Co2 0.233 0.497 0.205
Co3 0.734 0.603 0.983
O1 0.117 0.609 0.954
O2 0.123 0.107 0.735
O3 0.131 0.645 0.455
O4 0.137 0.146 0.227
O5 0.609 0.991 0.450
O6 0.613 0.487 0.234
O7 0.638 0.459 0.731
O8 0.638 0.951 0.960
```

=====

4.
# Li4FeCo3O8
Computed X-ray diffraction stick pattern, Cu Kα, 1.54184 Å. Input: a DFT-relaxed cell (PBE+U, the Materials Project).
No peak broadening, texture or thermal motion is included.

Most intense lines, 15 to 90 degrees two-theta, in order of rising 2θ:
2θ/deg  I_rel
18.40  100
36.41  40
43.98  72
57.85  14
63.45  20
64.44  20

```
data_Li4FeCo3O8
_cell_length_a 5.7838
_cell_length_b 5.7838
_cell_length_c 14.4653
_cell_angle_alpha 90.00
_cell_angle_beta 90.00
_cell_angle_gamma 120.00
_symmetry_space_group_name_H-M 'R -3 m'
_symmetry_Int_Tables_number 166
_symmetry_space_group_name_Hall '-R 3 2"'
loop_
_atom_site_label
_atom_site_fract_x
_atom_site_fract_y
_atom_site_fract_z
Li1 0.0000 0.0000 0.0000
Li2 0.0000 0.5000 0.0000
Fe1 0.0000 0.0000 0.5000
Co1 0.0000 0.5000 0.5000
O1 0.0000 0.0000 0.2425
O2 0.0034 0.5017 0.2408
```

=====

5.
# Li2FeCo2O6
Computed X-ray diffraction stick pattern, Cu Kα, 1.54184 Å. Input: a DFT-relaxed cell (PBE+U, the Materials Project).
No peak broadening, texture or thermal motion is included.

Most intense lines, 15 to 90 degrees two-theta, in order of rising 2θ:
2θ/deg  I_rel
17.48  100
35.24  8
36.57  8
39.29  8
39.91  10
44.93  17

```
data_Li2FeCo2O6
_cell_length_a 4.996
_cell_length_b 5.057
_cell_length_c 10.147
_cell_angle_alpha 90.48
_cell_angle_beta 90.57
_cell_angle_gamma 119.09
_symmetry_space_group_name_H-M 'P 1'
_symmetry_Int_Tables_number 1
loop_
_symmetry_equiv_pos_as_xyz
'x,y,z'
loop_
_atom_site_label
_atom_site_fract_x
_atom_site_fract_y
_atom_site_fract_z
Li1 0.000 0.000 0.000
Li2 0.224 0.179 0.501
Li3 0.479 0.512 0.999
Li4 0.704 0.705 0.499
Fe1 0.359 0.848 0.750
Fe2 0.849 0.347 0.249
Co1 0.027 0.178 0.749
Co2 0.181 0.017 0.249
Co3 0.514 0.691 0.250
Co4 0.691 0.503 0.750
O1 0.028 0.510 0.842
O2 0.030 0.874 0.643
O3 0.173 0.316 0.143
O4 0.189 0.694 0.342
O5 0.324 0.181 0.862
O6 0.359 0.486 0.646
O7 0.509 0.016 0.156
O8 0.509 0.355 0.349
O9 0.691 0.172 0.656
O10 0.705 0.844 0.848
O11 0.842 0.703 0.146
O12 0.890 0.020 0.362
```

=====

6.
# Li3Fe2Co2O8
Computed X-ray diffraction stick pattern, Cu Kα, 1.54184 Å. Input: a DFT-relaxed cell (PBE+U, the Materials Project).
No peak broadening, texture or thermal motion is included.

Most intense lines, 15 to 90 degrees two-theta, in order of rising 2θ:
2θ/deg  I_rel
18.63  75
18.82  62
18.92  100
43.94  53
44.41  51
44.76  50

```
data_Li3Fe2Co2O8
_cell_length_a 5.728
_cell_length_b 5.753
_cell_length_c 5.770
_cell_angle_alpha 60.44
_cell_angle_beta 89.57
_cell_angle_gamma 60.18
_symmetry_space_group_name_H-M 'P -1'
_symmetry_Int_Tables_number 2
loop_
_symmetry_equiv_pos_as_xyz
'x,y,z'
'-x,-y,-z'
loop_
_atom_site_label
_atom_site_fract_x
_atom_site_fract_y
_atom_site_fract_z
Li1 0.000 0.000 0.000
Li2 0.000 0.000 0.500
Li3 0.500 0.500 0.000
Fe1 0.000 0.500 0.500
Fe2 0.500 0.000 0.000
Co1 0.500 0.000 0.500
Co2 0.500 0.500 0.500
O1 0.251 0.023 0.731
O2 0.253 0.493 0.725
O3 0.270 0.470 0.290
O4 0.284 0.965 0.274
```

=====

7.
# Li2FeCo2O6
Computed X-ray diffraction stick pattern, Cu Kα, 1.54184 Å. Input: a DFT-relaxed cell (PBE+U, the Materials Project).
No peak broadening, texture or thermal motion is included.

Most intense lines, 15 to 90 degrees two-theta, in order of rising 2θ:
2θ/deg  I_rel
17.35  100
36.30  15
36.58  14
38.65  19
44.13  18
44.84  16

```
data_Li2FeCo2O6
_cell_length_a 5.084
_cell_length_b 5.085
_cell_length_c 10.224
_cell_angle_alpha 89.10
_cell_angle_beta 89.12
_cell_angle_gamma 61.95
_symmetry_space_group_name_H-M 'P 1'
_symmetry_Int_Tables_number 1
loop_
_symmetry_equiv_pos_as_xyz
'x,y,z'
loop_
_atom_site_label
_atom_site_fract_x
_atom_site_fract_y
_atom_site_fract_z
Li1 0.000 0.000 0.000
Li2 0.240 0.753 0.489
Li3 0.499 0.495 0.989
Li4 0.747 0.257 0.500
Fe1 0.344 0.093 0.245
Fe2 0.840 0.600 0.745
Co1 0.007 0.767 0.245
Co2 0.176 0.938 0.743
Co3 0.514 0.263 0.745
Co4 0.683 0.429 0.243
O1 0.024 0.076 0.356
O2 0.169 0.641 0.848
O3 0.174 0.241 0.647
O4 0.313 0.777 0.134
O5 0.385 0.422 0.348
O6 0.494 0.939 0.840
O7 0.525 0.569 0.634
O8 0.674 0.125 0.139
O9 0.683 0.746 0.340
O10 0.823 0.279 0.856
O11 0.873 0.930 0.639
O12 0.984 0.427 0.147
```

=====

8.
# Li3FeCo4O8
Computed X-ray diffraction stick pattern, Cu Kα, 1.54184 Å. Input: a DFT-relaxed cell (PBE+U, the Materials Project).
No peak broadening, texture or thermal motion is included.

Most intense lines, 15 to 90 degrees two-theta, in order of rising 2θ:
2θ/deg  I_rel
18.16  84
35.46  28
37.15  29
42.89  100
43.67  47
62.28  28

```
data_Li3FeCo4O8
_cell_length_a 10.124
_cell_length_b 5.962
_cell_length_c 5.966
_cell_angle_alpha 90.00
_cell_angle_beta 125.03
_cell_angle_gamma 90.00
_symmetry_space_group_name_H-M 'C 1 2/m 1'
_symmetry_Int_Tables_number 12
loop_
_symmetry_equiv_pos_as_xyz
'x,y,z'
'-x,-y,-z'
'-x,y,-z'
'x,-y,z'
'x+1/2,y+1/2,z'
'-x+1/2,-y+1/2,-z'
'-x+1/2,y+1/2,-z'
'x+1/2,-y+1/2,z'
loop_
_atom_site_label
_atom_site_fract_x
_atom_site_fract_y
_atom_site_fract_z
Li1 0.000 0.000 0.000
Li2 0.250 0.250 0.000
Fe1 0.000 0.500 0.500
Co1 0.000 0.000 0.500
Co2 0.000 0.500 0.000
Co3 0.250 0.250 0.500
O1 0.009 0.262 0.270
O2 0.238 0.500 0.727
O3 0.248 0.000 0.734
```

=====

9.
# Li2FeCo2O6
Computed X-ray diffraction stick pattern, Cu Kα, 1.54184 Å. Input: a DFT-relaxed cell (PBE+U, the Materials Project).
No peak broadening, texture or thermal motion is included.

Most intense lines, 15 to 90 degrees two-theta, in order of rising 2θ:
2θ/deg  I_rel
17.37  100
34.20  10
35.99  16
36.88  13
38.54  9
44.87  17

```
data_Li2FeCo2O6
_cell_length_a 5.021
_cell_length_b 5.154
_cell_length_c 10.208
_cell_angle_alpha 90.14
_cell_angle_beta 90.08
_cell_angle_gamma 117.94
_symmetry_space_group_name_H-M 'P 1'
_symmetry_Int_Tables_number 1
loop_
_symmetry_equiv_pos_as_xyz
'x,y,z'
loop_
_atom_site_label
_atom_site_fract_x
_atom_site_fract_y
_atom_site_fract_z
Li1 0.000 0.000 0.000
Li2 0.225 0.219 0.500
Li3 0.493 0.505 0.997
Li4 0.722 0.722 0.497
Fe1 0.357 0.870 0.747
Fe2 0.867 0.352 0.247
Co1 0.021 0.193 0.749
Co2 0.201 0.030 0.248
Co3 0.527 0.690 0.250
Co4 0.697 0.532 0.749
O1 0.000 0.538 0.846
O2 0.034 0.883 0.636
O3 0.187 0.336 0.135
O4 0.221 0.681 0.343
O5 0.325 0.188 0.859
O6 0.396 0.537 0.644
O7 0.522 0.011 0.156
O8 0.540 0.387 0.355
O9 0.683 0.837 0.854
O10 0.700 0.212 0.654
O11 0.823 0.681 0.145
O12 0.898 0.035 0.359
```

=====

10.
# Li2FeCo2O6
Computed X-ray diffraction stick pattern, Cu Kα, 1.54184 Å. Input: a DFT-relaxed cell (PBE+U, the Materials Project).
No peak broadening, texture or thermal motion is included.

Most intense lines, 15 to 90 degrees two-theta, in order of rising 2θ:
2θ/deg  I_rel
17.53  100
35.43  13
36.89  14
37.03  14
44.89  16
45.24  15

```
data_Li2FeCo2O6
_cell_length_a 5.071
_cell_length_b 8.647
_cell_length_c 10.122
_cell_angle_alpha 90.00
_cell_angle_beta 90.89
_cell_angle_gamma 90.00
_symmetry_space_group_name_H-M 'C 1 2 1'
_symmetry_Int_Tables_number 5
loop_
_symmetry_equiv_pos_as_xyz
'x,y,z'
'-x,y,-z'
'x+1/2,y+1/2,z'
'-x+1/2,y+1/2,-z'
loop_
_atom_site_label
_atom_site_fract_x
_atom_site_fract_y
_atom_site_fract_z
Li1 0.088 0.000 0.249
Li2 0.089 0.498 0.249
Fe1 0.000 0.249 0.500
Fe2 0.000 0.750 0.000
Co1 0.000 0.084 0.000
Co2 0.000 0.413 0.000
Co3 0.000 0.582 0.500
Co4 0.000 0.910 0.500
O1 0.152 0.252 0.903
O2 0.152 0.430 0.609
O3 0.156 0.745 0.597
O4 0.167 0.570 0.898
O5 0.173 0.925 0.896
O6 0.176 0.072 0.603
```

=====

11.
# Li6Fe3Co7O20
Computed X-ray diffraction stick pattern, Cu Kα, 1.54184 Å. Input: a DFT-relaxed cell (PBE+U, the Materials Project).
No peak broadening, texture or thermal motion is included.

Most intense lines, 15 to 90 degrees two-theta, in order of rising 2θ:
2θ/deg  I_rel
18.13  100
36.66  37
43.95  18
44.00  36
57.53  9
62.86  9

```
data_Li6Fe3Co7O20
_cell_length_a 5.896
_cell_length_b 2.876
_cell_length_c 20.704
_cell_angle_alpha 90.00
_cell_angle_beta 95.70
_cell_angle_gamma 90.00
_symmetry_space_group_name_H-M 'P 1 2/m 1'
_symmetry_Int_Tables_number 10
loop_
_symmetry_equiv_pos_as_xyz
'x,y,z'
'-x,-y,-z'
'-x,y,-z'
'x,-y,z'
loop_
_atom_site_label
_atom_site_fract_x
_atom_site_fract_y
_atom_site_fract_z
Li1 0.000 0.000 0.000
Li2 0.000 0.500 0.500
Li3 0.357 0.000 0.815
Li4 0.399 0.500 0.304
Fe1 0.079 0.500 0.700
Fe2 0.500 0.500 0.500
Co1 0.107 0.000 0.196
Co2 0.297 0.000 0.601
Co3 0.302 0.500 0.098
Co4 0.500 0.000 0.000
O1 0.088 0.500 0.601
O2 0.095 0.000 0.103
O3 0.114 0.500 0.798
O4 0.150 0.000 0.289
O5 0.266 0.000 0.510
O6 0.283 0.500 0.007
O7 0.323 0.000 0.693
O8 0.325 0.500 0.190
O9 0.491 0.000 0.907
O10 0.494 0.500 0.401
```